(1)
Structure and theoretical powder diffraction line list of Zn3Cu2Au2 (a DFT-relaxed cell (GGA-PBE, Alexandria); Cu Kα).
Intensities are scaled so that the largest is 100.

Crystal structure
Unit cell a=4.9431 b=8.5250 c=5.0357 alpha=90.00 beta=93.57 gamma=90.00
Fractional coordinates of all 14 atoms:
Zn1 0.0000 0.0000 0.0000
Zn2 0.0000 0.5000 0.5000
Zn3 0.2552 0.0307 0.5490
Zn4 0.2552 0.4693 0.0490
Zn5 0.7448 0.5307 0.9510
Zn6 0.7448 0.9693 0.4510
Cu1 0.0357 0.7390 0.2085
Cu2 0.0357 0.7610 0.7085
Cu3 0.9643 0.2390 0.2915
Cu4 0.9643 0.2610 0.7915
Au1 0.4707 0.1635 0.0926
Au2 0.4707 0.3365 0.5926
Au3 0.5293 0.6635 0.4074
Au4 0.5293 0.8365 0.9074

Top 10 peaks for 10° ≤ 2θ ≤ 90°, in order of rising 2θ:
2θ (°)	I_rel
17.98	44
27.44	38
36.32	65
36.43	49
40.28	41
40.67	71
41.33	100
42.34	41
43.17	49
46.41	42



(2)
Structure and theoretical powder diffraction line list of Zn5Cu2Au (a DFT-relaxed cell (GGA-PBE, Alexandria); Cu Kα).
Intensities are scaled so that the largest is 100.

Crystal structure
Unit cell a=6.7228 b=6.2985 c=4.5790 alpha=74.47 beta=64.51 gamma=41.01
Fractional coordinates of all 8 atoms:
Zn1 0.0000 0.0000 0.0000
Zn2 0.1334 0.1334 0.3666
Zn3 0.3666 0.3666 0.1334
Zn4 0.6334 0.6334 0.8666
Zn5 0.8666 0.8666 0.6334
Cu1 0.2459 0.2459 0.7541
Cu2 0.7541 0.7541 0.2459
Au1 0.5000 0.5000 0.5000

Top 10 peaks for 10° ≤ 2θ ≤ 90°, in order of rising 2θ:
2θ (°)	I_rel
21.60	31
29.18	13
31.20	16
40.41	100
40.86	99
45.79	69
50.13	27
70.23	37
80.73	23
81.62	24



(3)
Structure and theoretical powder diffraction line list of ZnCuAu6 (a DFT-relaxed cell (GGA-PBE, Alexandria); Cu Kα).
Intensities are scaled so that the largest is 100.

Crystal structure
Unit cell a=5.9416 b=5.9416 c=3.8599 alpha=90.00 beta=90.00 gamma=90.03
Fractional coordinates of all 8 atoms:
Zn1 0.0000 0.0000 0.0000
Cu1 0.5000 0.5000 0.0000
Au1 0.0000 0.5000 0.0000
Au2 0.2510 0.2510 0.5000
Au3 0.2525 0.7475 0.5000
Au4 0.5000 0.0000 0.0000
Au5 0.7475 0.2525 0.5000
Au6 0.7490 0.7490 0.5000

Top 10 peaks for 10° ≤ 2θ ≤ 90°, in order of rising 2θ:
2θ (°)	I_rel
21.15	8
38.23	100
43.06	36
47.09	14
62.53	12
65.70	21
75.69	14
75.73	14
81.53	12
81.83	11



What did the second record say?
Structure and theoretical powder diffraction line list of Zn5Cu2Au (a DFT-relaxed cell (GGA-PBE, Alexandria); Cu Kα).
Intensities are scaled so that the largest is 100.

Crystal structure
Unit cell a=6.7228 b=6.2985 c=4.5790 alpha=74.47 beta=64.51 gamma=41.01
Fractional coordinates of all 8 atoms:
Zn1 0.0000 0.0000 0.0000
Zn2 0.1334 0.1334 0.3666
Zn3 0.3666 0.3666 0.1334
Zn4 0.6334 0.6334 0.8666
Zn5 0.8666 0.8666 0.6334
Cu1 0.2459 0.2459 0.7541
Cu2 0.7541 0.7541 0.2459
Au1 0.5000 0.5000 0.5000

Top 10 peaks for 10° ≤ 2θ ≤ 90°, in order of rising 2θ:
2θ (°)	I_rel
21.60	31
29.18	13
31.20	16
40.41	100
40.86	99
45.79	69
50.13	27
70.23	37
80.73	23
81.62	24